Simulated powder X-ray diffraction pattern of Mg2CrSe for Cu Kα X-rays, from the PBE geometry in Alexandria.
Intensities are scaled so that the largest is 100.

Cell and atoms:
a = 3.6788 Å, b = 6.2055 Å, c = 6.2055 Å
α = 35.53°, β = 90.00°, γ = 90.00°
Element x y z (fractional)
Mg 0.0000 0.0000 0.0000
Mg 0.5000 0.3477 0.3477
Cr 0.5000 0.6035 0.6035
Se 0.0000 0.7625 0.7625

The 10 most intense peaks (2θ = 10–90°), low angle first:
- 14.99 deg, rel. 38
- 24.69 deg, rel. 89
- 28.58 deg, rel. 34
- 34.84 deg, rel. 100
- 39.10 deg, rel. 81
- 41.18 deg, rel. 78
- 45.22 deg, rel. 38
- 48.06 deg, rel. 26
- 49.56 deg, rel. 24
- 63.61 deg, rel. 36